[1]
Simulated X-ray powder pattern of Cs4AgPb4 for Cu Kα (weighted mean of Kα1 and Kα2), from the PBE geometry in Alexandria.

Structural model:
Unit cell a=7.7946 b=7.7946 c=16.9767 alpha=90.00 beta=90.00 gamma=90.00
Space group I-42m (No. 121)
One atom of each set of equivalent atoms:
Cs: 0.1781 0.1781 0.3742
Ag: 0.0000 0.0000 0.0000
Pb: 0.1345 0.1345 0.1467

Main lines, by angle (15 to 90 degrees two-theta):
(hkl), d_spacing, intensity
1 1 0, 5.512, 43
0 0 4, 4.244, 44
2 1 1, 3.415, 100
2 1 3, 2.968, 28
2 0 4, 2.871, 15
2 1 5, 2.432, 53
3 1 2, 2.366, 20
1 0 7, 2.314, 13
3 1 4, 2.131, 26
4 1 3, 1.793, 14
4 0 4, 1.771, 12
2 1 9, 1.659, 16

[2]
Simulated X-ray powder pattern of MnCu2Sn3S8 for Cu Kα (weighted mean of Kα1 and Kα2), from the PBE geometry in Alexandria.

Structural model:
Unit cell a=7.4459 b=7.4459 c=18.0410 alpha=90.00 beta=90.00 gamma=120.00
Space group R-3m (No. 166, hexagonal axes)
One atom of each set of equivalent atoms:
Mn: 0.0000 0.0000 0.0000
Cu: 0.0000 0.0000 0.3840
Sn: 0.0000 0.5000 0.5000
S: 0.0000 0.0000 0.2515
S: 0.0148 0.5074 0.7483

Main lines, by angle (15 to 90 degrees two-theta):
(hkl), d_spacing, intensity
1 0 4, 3.696, 19
0 2 1, 3.170, 100
0 1 5, 3.149, 27
0 2 4, 2.623, 59
0 3 3, 2.024, 12
1 2 5, 2.020, 19
0 2 7, 2.013, 11
2 2 0, 1.861, 46
2 0 8, 1.848, 44
4 0 4, 1.518, 10
2 2 9, 1.364, 12
0 4 8, 1.311, 14

[3]
Simulated X-ray powder pattern of RbNdTeI for Cu Kα (weighted mean of Kα1 and Kα2), from the PBE geometry in Alexandria.

Structural model:
Unit cell a=4.5317 b=4.5317 c=26.8970 alpha=90.00 beta=90.00 gamma=120.00
Space group R3m (No. 160, hexagonal axes)
One atom of each set of equivalent atoms:
Rb: 0.0000 0.0000 0.0000
Nd: 0.0000 0.0000 0.1808
Te: 0.0000 0.0000 0.5794
I: 0.0000 0.0000 0.7704

Main lines, by angle (15 to 90 degrees two-theta):
(hkl), d_spacing, intensity
0 1 2, 3.767, 27
1 0 4, 3.390, 9
0 1 5, 3.171, 100
1 0 7, 2.746, 25
1 1 0, 2.266, 43
1 0 10, 2.219, 28
2 0 5, 1.843, 21
1 1 12, 1.593, 15
0 2 10, 1.585, 10
1 2 5, 1.430, 18
1 1 15, 1.406, 8
2 1 10, 1.299, 10

[4]
Simulated X-ray powder pattern of Cd2B3Rh9 for Cu Kα (weighted mean of Kα1 and Kα2), from the PBE geometry in Alexandria.

Structural model:
Unit cell a=12.9553 b=6.7382 c=9.5308 alpha=90.00 beta=115.31 gamma=90.00
Space group C2/c (No. 15)
One atom of each set of equivalent atoms:
Cd: 0.1879 0.0900 0.2521
B: 0.0987 0.3027 0.5050
B: 0.2500 0.2500 0.0000
Rh: 0.0000 0.3643 0.2500
Rh: 0.0500 0.0150 0.4058
Rh: 0.0914 0.3713 0.0338
Rh: 0.1064 0.2852 0.7360
Rh: 0.2253 0.4326 0.4346

Main lines, by angle (15 to 90 degrees two-theta):
(hkl), d_spacing, intensity
2 2 1, 2.602, 30
5 1 -1, 2.387, 49
2 2 -3, 2.308, 51
3 1 2, 2.280, 100
5 1 -3, 2.245, 35
3 1 -4, 2.228, 91
4 2 0, 2.210, 41
1 3 0, 2.206, 47
0 2 3, 2.186, 32
1 3 -1, 2.179, 42
6 0 -2, 2.157, 80
3 3 -1, 1.992, 66